[1]
For SmPaFe2O8, the PBE+U geometry in Alexandria gives the simulated X-ray diffraction stick pattern in this record (Cu Kα (λ = 1.5418 Å)).

Largest 6 diffraction maxima, in order of rising 2θ, 2θ = 10–90°:
d/Å, I_rel, (hkl)
4.860, 54, 1 0 1
3.570, 100, 2 0 0
2.772, 80, 1 1 2
2.525, 24, 2 2 0
1.867, 65, 3 1 2
1.501, 19, 3 3 2

Cell and atoms:
```
data_SmPaFe2O8
_space_group_name_H-M_alt 'I -4 m 2'
_space_group_IT_number 119
_space_group_name_Hall 'I -4 -2'
_cell_length_a 7.1408
_cell_length_b 7.1408
_cell_length_c 6.6343
_cell_angle_alpha 90.00
_cell_angle_beta 90.00
_cell_angle_gamma 90.00
loop_
_atom_site_label
_atom_site_type_symbol
_atom_site_fract_x
_atom_site_fract_y
_atom_site_fract_z
Sm1 Sm 0.0000 0.0000 0.0000
Pa1 Pa 0.0000 0.5000 0.7500
Fe1 Fe 0.0000 0.0000 0.5000
Fe2 Fe 0.0000 0.5000 0.2500
O1 O 0.0000 0.1965 0.6926
O2 O 0.0000 0.3260 0.0644
```

[2]
For PaFeSn2O8, the PBE+U geometry in Alexandria gives the simulated X-ray diffraction stick pattern in this record (Cu Kα (λ = 1.5418 Å)).

Largest 6 diffraction maxima, in order of rising 2θ, 2θ = 10–90°:
d/Å, I_rel, (hkl)
4.932, 24, 1 0 1
3.444, 99, 2 0 0
2.860, 100, 1 1 2
2.436, 24, 2 2 0
1.854, 73, 3 1 2
1.475, 21, 3 3 2

Cell and atoms:
```
data_PaFeSn2O8
_space_group_name_H-M_alt 'I -4 m 2'
_space_group_IT_number 119
_space_group_name_Hall 'I -4 -2'
_cell_length_a 6.8887
_cell_length_b 6.8887
_cell_length_c 7.0657
_cell_angle_alpha 90.00
_cell_angle_beta 90.00
_cell_angle_gamma 90.00
loop_
_atom_site_label
_atom_site_type_symbol
_atom_site_fract_x
_atom_site_fract_y
_atom_site_fract_z
Pa1 Pa 0.0000 0.0000 0.0000
Fe1 Fe 0.0000 0.5000 0.2500
Sn1 Sn 0.0000 0.0000 0.5000
Sn2 Sn 0.0000 0.5000 0.7500
O1 O 0.0000 0.2017 0.2973
O2 O 0.0000 0.3074 0.9510
```

[3]
For PaFe2TeO8, the PBE+U geometry in Alexandria gives the simulated X-ray diffraction stick pattern in this record (Cu Kα (λ = 1.5418 Å)).

Largest 6 diffraction maxima, in order of rising 2θ, 2θ = 10–90°:
d/Å, I_rel, (hkl)
4.816, 72, 1 0 1
3.417, 100, 2 0 0
2.775, 89, 1 1 2
2.416, 23, 2 2 0
1.823, 81, 3 1 2
1.455, 20, 3 3 2

Cell and atoms:
```
data_PaFe2TeO8
_space_group_name_H-M_alt 'I -4 m 2'
_space_group_IT_number 119
_space_group_name_Hall 'I -4 -2'
_cell_length_a 6.8335
_cell_length_b 6.8335
_cell_length_c 6.7811
_cell_angle_alpha 90.00
_cell_angle_beta 90.00
_cell_angle_gamma 90.00
loop_
_atom_site_label
_atom_site_type_symbol
_atom_site_fract_x
_atom_site_fract_y
_atom_site_fract_z
Pa1 Pa 0.0000 0.0000 0.0000
Fe1 Fe 0.0000 0.0000 0.5000
Fe2 Fe 0.0000 0.5000 0.2500
Te1 Te 0.0000 0.5000 0.7500
O1 O 0.0000 0.1959 0.6942
O2 O 0.0000 0.3145 0.0451
```

[4]
For PaTl2FeO8, the PBE+U geometry in Alexandria gives the simulated X-ray diffraction stick pattern in this record (Cu Kα (λ = 1.5418 Å)).

Largest 6 diffraction maxima, in order of rising 2θ, 2θ = 10–90°:
d/Å, I_rel, (hkl)
3.323, 78, 2 0 0
2.998, 100, 1 1 2
2.350, 21, 2 2 0
1.850, 63, 3 1 2
1.680, 22, 2 0 4
1.453, 16, 3 3 2

Cell and atoms:
```
data_PaTl2FeO8
_space_group_name_H-M_alt 'I -4 m 2'
_space_group_IT_number 119
_space_group_name_Hall 'I -4 -2'
_cell_length_a 6.6467
_cell_length_b 6.6467
_cell_length_c 7.7860
_cell_angle_alpha 90.00
_cell_angle_beta 90.00
_cell_angle_gamma 90.00
loop_
_atom_site_label
_atom_site_type_symbol
_atom_site_fract_x
_atom_site_fract_y
_atom_site_fract_z
Pa1 Pa 0.0000 0.0000 0.0000
Tl1 Tl 0.0000 0.0000 0.5000
Tl2 Tl 0.0000 0.5000 0.7500
Fe1 Fe 0.0000 0.5000 0.2500
O1 O 0.0000 0.2027 0.2784
O2 O 0.0000 0.3120 0.9684
```

[5]
For TmPaFeO6, the PBE+U geometry in Alexandria gives the simulated X-ray diffraction stick pattern in this record (Cu Kα (λ = 1.5418 Å)).

Largest 6 diffraction maxima, in order of rising 2θ, 2θ = 10–90°:
d/Å, I_rel, (hkl)
4.554, 16, 1 0 0
3.307, 100, 1 0 1
2.629, 36, 1 1 0
2.058, 27, 2 0 1
1.774, 34, 2 -1 2
1.621, 26, 2 1 1

Cell and atoms:
```
data_TmPaFeO6
_space_group_name_H-M_alt 'P 3 1 2'
_space_group_IT_number 149
_space_group_name_Hall 'P 3 2'
_cell_length_a 5.2587
_cell_length_b 5.2587
_cell_length_c 4.8094
_cell_angle_alpha 90.00
_cell_angle_beta 90.00
_cell_angle_gamma 120.00
loop_
_atom_site_label
_atom_site_type_symbol
_atom_site_fract_x
_atom_site_fract_y
_atom_site_fract_z
Tm1 Tm 0.0000 0.0000 0.0000
Pa1 Pa 0.6667 0.3333 0.5000
Fe1 Fe 0.3333 0.6667 0.0000
O1 O 0.0234 0.3722 0.2319
```

[6]
For ZrPaFeO6, the PBE+U geometry in Alexandria gives the simulated X-ray diffraction stick pattern in this record (Cu Kα (λ = 1.5418 Å)).

Largest 6 diffraction maxima, in order of rising 2θ, 2θ = 10–90°:
d/Å, I_rel, (hkl)
4.371, 49, 0 0 2
4.227, 47, 1 0 1
3.240, 100, 1 0 2
2.788, 75, 1 1 0
2.350, 64, 1 1 2
1.720, 59, 1 1 4

Cell and atoms:
```
data_ZrPaFeO6
_space_group_name_H-M_alt 'P -3 1 c'
_space_group_IT_number 163
_space_group_name_Hall '-P 3 2c'
_cell_length_a 5.5758
_cell_length_b 5.5758
_cell_length_c 8.7410
_cell_angle_alpha 90.00
_cell_angle_beta 90.00
_cell_angle_gamma 120.00
loop_
_atom_site_label
_atom_site_type_symbol
_atom_site_fract_x
_atom_site_fract_y
_atom_site_fract_z
Zr1 Zr 0.3333 0.6667 0.2500
Pa1 Pa 0.3333 0.6667 0.7500
Fe1 Fe 0.0000 0.0000 0.0000
O1 O 0.0085 0.3305 0.1276
```

[7]
For Fe3PbS2O14, the PBE+U geometry in Alexandria gives the simulated X-ray diffraction stick pattern in this record (Cu Kα (λ = 1.5418 Å)).

Largest 6 diffraction maxima, in order of rising 2θ, 2θ = 10–90°:
d/Å, I_rel, (hkl)
5.702, 100, 1 0 1
3.462, 29, 1 1 0
3.016, 95, 1 1 3
2.851, 26, 2 0 2
2.411, 31, 1 0 7
1.901, 28, 0 3 3

Cell and atoms:
```
data_Fe3PbS2O14
_space_group_name_H-M_alt 'R -3 m'
_space_group_IT_number 166
_space_group_name_Hall '-R 3 2"'
_cell_length_a 6.9238
_cell_length_b 6.9238
_cell_length_c 18.4321
_cell_angle_alpha 90.00
_cell_angle_beta 90.00
_cell_angle_gamma 120.00
loop_
_atom_site_label
_atom_site_type_symbol
_atom_site_fract_x
_atom_site_fract_y
_atom_site_fract_z
Fe1 Fe 0.0000 0.5000 0.0000
Pb1 Pb 0.0000 0.0000 0.5000
S1 S 0.0000 0.0000 0.1930
O1 O 0.0000 0.0000 0.1149
O2 O 0.0885 0.5443 0.3041
O3 O 0.0985 0.5492 0.8895
```

[8]
For Fe2Sb3PbO8, the PBE+U geometry in Alexandria gives the simulated X-ray diffraction stick pattern in this record (Cu Kα (λ = 1.5418 Å)).

Largest 6 diffraction maxima, in order of rising 2θ, 2θ = 10–90°:
d/Å, I_rel, (hkl)
3.276, 100, 1 1 3
2.748, 12, 2 2 0
2.737, 22, 0 2 4
2.507, 17, 2 2 2
1.986, 24, 1 5 3
1.812, 19, 3 1 3

Cell and atoms:
```
data_Fe2Sb3PbO8
_space_group_name_H-M_alt 'A m a 2'
_space_group_IT_number 40
_space_group_name_Hall 'A 2 -2a'
_cell_length_a 6.1524
_cell_length_b 12.2232
_cell_length_c 12.2504
_cell_angle_alpha 90.00
_cell_angle_beta 90.00
_cell_angle_gamma 90.00
loop_
_atom_site_label
_atom_site_type_symbol
_atom_site_fract_x
_atom_site_fract_y
_atom_site_fract_z
Fe1 Fe 0.0000 0.0000 0.0000
Fe2 Fe 0.0000 0.0000 0.4958
Sb1 Sb 0.2500 0.0782 0.2474
Sb2 Sb 0.2500 0.2444 0.9213
Sb3 Sb 0.2500 0.4222 0.2497
Pb1 Pb 0.2500 0.2487 0.6019
O1 O 0.0000 0.0000 0.3255
O2 O 0.0000 0.0000 0.6691
O3 O 0.0127 0.1719 0.0017
O4 O 0.2500 0.0229 0.8721
O5 O 0.2500 0.1024 0.4807
O6 O 0.2500 0.3845 0.0132
O7 O 0.2500 0.4754 0.6258
```